# 1
Diffraction record for NiPRh. The powder XRD pattern is calculated, not measured: it uses DFT lattice parameters and positions (PBE) and Cu Kα X-rays.
Kinematic intensities with the Lorentz-polarization factor, no thermal factor.

Atomic structure:
```
data_NiPRh
_symmetry_space_group_name_H-M 'P 4/n m m'
_symmetry_Int_Tables_number 129
_cell_length_a 3.512
_cell_length_b 3.512
_cell_length_c 5.904
_cell_angle_alpha 90.00
_cell_angle_beta 90.00
_cell_angle_gamma 90.00
loop_
_symmetry_equiv_pos_as_xyz
'x,y,z'
'-x,-y,-z'
'-y+1/2,x,z'
'y+1/2,-x,-z'
'-x+1/2,-y+1/2,z'
'x+1/2,y+1/2,-z'
'y,-x+1/2,z'
'-y,x+1/2,-z'
'x+1/2,-y,-z'
'-x+1/2,y,z'
'-y,-x,-z'
'y,x,z'
'-x,y+1/2,-z'
'x,-y+1/2,z'
'y+1/2,x+1/2,-z'
'-y+1/2,-x+1/2,z'
loop_
_atom_site_label
_atom_site_type_symbol
_atom_site_fract_x
_atom_site_fract_y
_atom_site_fract_z
Ni1 Ni 0.250 0.750 0.000
P1 P 0.250 0.250 0.247
Rh1 Rh 0.250 0.250 0.633
```

Largest 10 diffraction maxima, by intensity, 10° ≤ 2θ ≤ 90°:
2θ (°)	d/Å	intensity	hkl
39.36	2.289	100	1 1 1
39.89	2.260	59	1 0 2
52.08	1.756	47	2 0 0
47.87	1.900	34	1 1 2
29.60	3.018	26	1 0 1
67.56	1.387	24	2 1 2
46.12	1.968	19	0 0 3
72.08	1.310	19	2 0 3
53.36	1.717	19	1 0 3
89.87	1.091	18	3 1 1

=====

# 2
Diffraction record for LuTlSe2. The powder XRD pattern is calculated, not measured: it uses DFT lattice parameters and positions (PBE) and Cu Kα X-rays.
Kinematic intensities with the Lorentz-polarization factor, no thermal factor.

Atomic structure:
```
data_LuTlSe2
_symmetry_space_group_name_H-M 'R -3 m'
_symmetry_Int_Tables_number 166
_symmetry_space_group_name_Hall '-R 3 2"'
_cell_length_a 4.1141
_cell_length_b 4.1141
_cell_length_c 23.3117
_cell_angle_alpha 90.00
_cell_angle_beta 90.00
_cell_angle_gamma 120.00
loop_
_atom_site_label
_atom_site_type_symbol
_atom_site_fract_x
_atom_site_fract_y
_atom_site_fract_z
Lu1 Lu 0.0000 0.0000 0.0000
Tl1 Tl 0.0000 0.0000 0.5000
Se1 Se 0.0000 0.0000 0.2668
```

Largest 10 diffraction maxima, by intensity, 10° ≤ 2θ ≤ 90°:
2θ (°)	d/Å	intensity	hkl
29.38	3.040	100	1 0 4
39.97	2.256	37	0 1 8
44.02	2.057	35	1 1 0
26.15	3.407	23	0 1 2
53.81	1.704	19	0 2 4
71.97	1.312	16	2 1 4
22.89	3.885	13	0 0 6
66.16	1.412	13	1 1 12
60.96	1.520	11	2 0 8
78.20	1.222	11	1 2 8

=====

# 3
Diffraction record for TmSnIr. The powder XRD pattern is calculated, not measured: it uses DFT lattice parameters and positions (PBE) and Cu Kα X-rays.
Kinematic intensities with the Lorentz-polarization factor, no thermal factor.

Atomic structure:
```
data_TmSnIr
_symmetry_space_group_name_H-M 'P -6 2 m'
_symmetry_Int_Tables_number 189
_symmetry_space_group_name_Hall 'P -6 -2'
_cell_length_a 7.5423
_cell_length_b 7.5423
_cell_length_c 3.8134
_cell_angle_alpha 90.00
_cell_angle_beta 90.00
_cell_angle_gamma 120.00
loop_
_atom_site_label
_atom_site_type_symbol
_atom_site_fract_x
_atom_site_fract_y
_atom_site_fract_z
Tm1 Tm 0.0000 0.5979 0.0000
Sn1 Sn 0.0000 0.2642 0.5000
Ir1 Ir 0.0000 0.0000 0.0000
Ir2 Ir 0.3333 0.6667 0.5000
```

Largest 10 diffraction maxima, by intensity, 10° ≤ 2θ ≤ 90°:
2θ (°)	d/Å	intensity	hkl
36.21	2.481	100	2 0 1
33.42	2.681	93	1 1 1
41.47	2.177	59	3 0 0
67.11	1.395	39	3 2 1
43.68	2.072	39	2 1 1
36.39	2.469	35	2 1 0
65.02	1.434	32	3 0 2
47.70	1.907	27	0 0 2
61.44	1.509	16	2 1 2
77.19	1.236	14	5 0 1

=====

# 4
Diffraction record for Ti3Cd. The powder XRD pattern is calculated, not measured: it uses DFT lattice parameters and positions (PBE) and Cu Kα X-rays.
Kinematic intensities with the Lorentz-polarization factor, no thermal factor.

Atomic structure:
```
data_Ti3Cd
_symmetry_space_group_name_H-M 'P m -3 m'
_symmetry_Int_Tables_number 221
_symmetry_space_group_name_Hall '-P 4 2 3'
_cell_length_a 4.151
_cell_length_b 4.151
_cell_length_c 4.151
_cell_angle_alpha 90.00
_cell_angle_beta 90.00
_cell_angle_gamma 90.00
loop_
_atom_site_label
_atom_site_type_symbol
_atom_site_fract_x
_atom_site_fract_y
_atom_site_fract_z
Ti1 Ti 0.000 0.000 0.500
Cd1 Cd 0.500 0.500 0.500
```

Largest 10 diffraction maxima, by intensity, 10° ≤ 2θ ≤ 90°:
2θ (°)	d/Å	intensity	hkl
37.53	2.397	100	1 1 1
43.61	2.076	48	2 0 0
76.04	1.252	33	3 1 1
63.38	1.468	29	2 2 0
21.41	4.151	21	1 0 0
30.45	2.935	18	1 1 0
49.07	1.856	10	2 1 0
80.08	1.198	9	2 2 2
54.12	1.695	7	2 1 1
67.72	1.384	5	3 0 0

=====

# 5
Diffraction record for La5AsPb3. The powder XRD pattern is calculated, not measured: it uses DFT lattice parameters and positions (PBE) and Cu Kα X-rays.
Kinematic intensities with the Lorentz-polarization factor, no thermal factor.

Atomic structure:
```
data_La5AsPb3
_symmetry_space_group_name_H-M 'P 63/m c m'
_symmetry_Int_Tables_number 193
_symmetry_space_group_name_Hall '-P 6c 2'
_cell_length_a 9.7144
_cell_length_b 9.7144
_cell_length_c 7.3765
_cell_angle_alpha 90.00
_cell_angle_beta 90.00
_cell_angle_gamma 120.00
loop_
_atom_site_label
_atom_site_type_symbol
_atom_site_fract_x
_atom_site_fract_y
_atom_site_fract_z
La1 La 0.0000 0.2415 0.2500
La2 La 0.3333 0.6667 0.0000
As1 As 0.0000 0.0000 0.0000
Pb1 Pb 0.0000 0.4011 0.7500
```

Largest 10 diffraction maxima, by intensity, 10° ≤ 2θ ≤ 90°:
2θ (°)	d/Å	intensity	hkl
30.62	2.920	100	2 1 1
30.43	2.937	90	1 1 2
31.91	2.804	43	3 0 0
46.70	1.945	32	2 1 3
40.55	2.225	26	3 1 1
24.13	3.688	22	0 0 2
60.48	1.531	19	5 0 2
44.68	2.028	15	2 2 2
60.04	1.541	14	3 0 4
49.42	1.844	14	0 0 4

=====

# 6
Diffraction record for KMg6AlO8. The powder XRD pattern is calculated, not measured: it uses DFT lattice parameters and positions (PBE) and Cu Kα X-rays.
Kinematic intensities with the Lorentz-polarization factor, no thermal factor.

Atomic structure:
```
data_KMg6AlO8
_symmetry_space_group_name_H-M 'P 4/m m m'
_symmetry_Int_Tables_number 123
_symmetry_space_group_name_Hall '-P 4 2'
_cell_length_a 4.464
_cell_length_b 4.464
_cell_length_c 8.473
_cell_angle_alpha 90.00
_cell_angle_beta 90.00
_cell_angle_gamma 90.00
loop_
_atom_site_label
_atom_site_type_symbol
_atom_site_fract_x
_atom_site_fract_y
_atom_site_fract_z
K1 K 0.000 0.000 0.000
Mg1 Mg 0.000 0.500 0.245
Mg2 Mg 0.500 0.500 0.000
Mg3 Mg 0.500 0.500 0.500
Al1 Al 0.000 0.000 0.500
O1 O 0.000 0.000 0.291
O2 O 0.000 0.500 0.000
O3 O 0.000 0.500 0.500
O4 O 0.500 0.500 0.253
```

Largest 10 diffraction maxima, by intensity, 10° ≤ 2θ ≤ 90°:
2θ (°)	d/Å	intensity	hkl
40.41	2.232	100	2 0 0
60.23	1.536	47	2 0 4
42.69	2.118	38	0 0 4
58.48	1.578	29	2 2 0
75.05	1.266	22	2 2 4
35.46	2.531	21	1 1 2
70.28	1.339	9	3 1 2
87.38	1.116	8	4 0 0
73.46	1.289	5	1 1 6
42.97	2.105	3	1 1 3

=====

# 7
Diffraction record for BaLaEuSbO6. The powder XRD pattern is calculated, not measured: it uses DFT lattice parameters and positions (PBE) and Cu Kα X-rays.
Kinematic intensities with the Lorentz-polarization factor, no thermal factor.

Atomic structure:
```
data_BaLaEuSbO6
_symmetry_space_group_name_H-M 'F -4 3 m'
_symmetry_Int_Tables_number 216
_symmetry_space_group_name_Hall 'F -4 2 3'
_cell_length_a 8.638
_cell_length_b 8.638
_cell_length_c 8.638
_cell_angle_alpha 90.00
_cell_angle_beta 90.00
_cell_angle_gamma 90.00
loop_
_atom_site_label
_atom_site_type_symbol
_atom_site_fract_x
_atom_site_fract_y
_atom_site_fract_z
Ba1 Ba 0.000 0.000 0.000
La1 La 0.250 0.250 0.750
Eu1 Eu 0.000 0.000 0.500
Sb1 Sb 0.250 0.250 0.250
O1 O 0.024 0.250 0.250
```

Largest 8 diffraction maxima, by intensity, 10° ≤ 2θ ≤ 90°:
2θ (°)	d/Å	intensity	hkl
29.24	3.054	100	2 2 0
51.86	1.763	40	4 2 2
41.83	2.159	29	4 0 0
83.81	1.154	22	6 4 2
68.73	1.366	18	6 2 0
60.65	1.527	18	4 4 0
76.39	1.247	6	4 4 4
36.02	2.493	2	2 2 2

=====

# 8
Diffraction record for AlO2. The powder XRD pattern is calculated, not measured: it uses DFT lattice parameters and positions (PBE) and Cu Kα X-rays.
Kinematic intensities with the Lorentz-polarization factor, no thermal factor.

Atomic structure:
```
data_AlO2
_symmetry_space_group_name_H-M 'C m c m'
_symmetry_Int_Tables_number 63
_symmetry_space_group_name_Hall '-C 2c 2'
_cell_length_a 2.976
_cell_length_b 10.806
_cell_length_c 3.647
_cell_angle_alpha 90.00
_cell_angle_beta 90.00
_cell_angle_gamma 90.00
loop_
_atom_site_label
_atom_site_type_symbol
_atom_site_fract_x
_atom_site_fract_y
_atom_site_fract_z
Al1 Al 0.000 0.168 0.250
O1 O 0.000 0.206 0.750
O2 O 0.000 0.439 0.750
```

Largest 10 diffraction maxima, by intensity, 10° ≤ 2θ ≤ 90°:
2θ (°)	d/Å	intensity	hkl
39.27	2.294	100	1 3 0
29.55	3.023	73	0 2 1
16.41	5.403	66	0 2 0
58.54	1.577	42	1 5 1
50.02	1.823	37	0 0 2
65.38	1.427	36	1 3 2
52.31	1.749	23	1 5 0
62.40	1.488	17	2 0 0
83.93	1.153	13	2 0 2
75.30	1.262	13	1 5 2

=====

# 9
Diffraction record for PbSe. The powder XRD pattern is calculated, not measured: it uses DFT lattice parameters and positions (PBE) and Cu Kα X-rays.
Kinematic intensities with the Lorentz-polarization factor, no thermal factor.

Atomic structure:
```
data_PbSe
_symmetry_space_group_name_H-M 'P m -3 m'
_symmetry_Int_Tables_number 221
_symmetry_space_group_name_Hall '-P 4 2 3'
_cell_length_a 3.784
_cell_length_b 3.784
_cell_length_c 3.784
_cell_angle_alpha 90.00
_cell_angle_beta 90.00
_cell_angle_gamma 90.00
loop_
_atom_site_label
_atom_site_type_symbol
_atom_site_fract_x
_atom_site_fract_y
_atom_site_fract_z
Pb1 Pb 0.000 0.000 0.000
Se1 Se 0.500 0.500 0.500
```

Largest 10 diffraction maxima, by intensity, 10° ≤ 2θ ≤ 90°:
2θ (°)	d/Å	intensity	hkl
33.49	2.676	100	1 1 0
59.87	1.545	38	2 1 1
23.51	3.784	22	1 0 0
48.09	1.892	18	2 0 0
80.21	1.197	17	3 1 0
70.37	1.338	12	2 2 0
54.20	1.692	11	2 1 0
41.32	2.185	7	1 1 1
75.34	1.261	5	3 0 0
89.77	1.092	5	2 2 2

=====

# 10
Diffraction record for TaO3. The powder XRD pattern is calculated, not measured: it uses DFT lattice parameters and positions (PBE) and Cu Kα X-rays.
Kinematic intensities with the Lorentz-polarization factor, no thermal factor.

Atomic structure:
```
data_TaO3
_symmetry_space_group_name_H-M 'I m -3'
_symmetry_Int_Tables_number 204
_symmetry_space_group_name_Hall '-I 2 2 3'
_cell_length_a 7.910
_cell_length_b 7.910
_cell_length_c 7.910
_cell_angle_alpha 90.00
_cell_angle_beta 90.00
_cell_angle_gamma 90.00
loop_
_atom_site_label
_atom_site_type_symbol
_atom_site_fract_x
_atom_site_fract_y
_atom_site_fract_z
Ta1 Ta 0.250 0.250 0.250
O1 O 0.000 0.244 0.256
```

Largest 10 diffraction maxima, by intensity, 10° ≤ 2θ ≤ 90°:
2θ (°)	d/Å	intensity	hkl
22.48	3.955	100	2 0 0
32.00	2.797	56	2 2 0
51.68	1.769	42	4 2 0
57.04	1.615	23	4 2 2
45.89	1.977	20	4 0 0
71.58	1.318	19	4 4 2
39.46	2.283	14	2 2 2
66.92	1.398	12	4 4 0
76.11	1.251	10	6 2 0
89.31	1.097	9	6 4 0

=====

# 11
Diffraction record for Tm2IrRh. The powder XRD pattern is calculated, not measured: it uses DFT lattice parameters and positions (PBE) and Cu Kα X-rays.
Kinematic intensities with the Lorentz-polarization factor, no thermal factor.

Atomic structure:
```
data_Tm2IrRh
_symmetry_space_group_name_H-M 'F m -3 m'
_symmetry_Int_Tables_number 225
_symmetry_space_group_name_Hall '-F 4 2 3'
_cell_length_a 6.764
_cell_length_b 6.764
_cell_length_c 6.764
_cell_angle_alpha 90.00
_cell_angle_beta 90.00
_cell_angle_gamma 90.00
loop_
_atom_site_label
_atom_site_type_symbol
_atom_site_fract_x
_atom_site_fract_y
_atom_site_fract_z
Tm1 Tm 0.250 0.250 0.250
Ir1 Ir 0.000 0.000 0.000
Rh1 Rh 0.000 0.000 0.500
```

Largest 10 diffraction maxima, by intensity, 10° ≤ 2θ ≤ 90°:
2θ (°)	d/Å	intensity	hkl
37.61	2.391	100	2 2 0
67.89	1.381	36	4 2 2
54.25	1.691	17	4 0 0
80.30	1.196	11	4 4 0
22.77	3.905	4	1 1 1
44.42	2.039	2	3 1 1
59.58	1.552	1	3 3 1
84.80	1.143	1	5 3 1
72.63	1.302	1	5 1 1
26.35	3.382	1	2 0 0